# TbPuSe2
Simulated X-ray powder pattern, λ = 1.5418 Å (Cu Kα). Input: DFT lattice parameters and positions (PBE).
Lines closer than 0.1° are merged.

Peak list (8 most intense, 2θ from 15° to 90°, in order of falling intensity)
index	2theta	Rel. int.
2 0 0	30.7	100.0
2 2 0	44.0	75.2
1 1 2	26.5	33.4
2 2 4	54.6	26.6
4 2 0	72.7	22.9
4 2 4	81.0	17.3
3 1 2	52.1	17.0
2 0 8	72.6	11.5

Atomic structure:
```
data_TbPuSe2
_chemical_formula_sum 'Tb4 Pu4 Se8'
_cell_length_a 5.8140
_cell_length_b 5.8140
_cell_length_c 11.6538
_cell_angle_alpha 90.00
_cell_angle_beta 90.00
_cell_angle_gamma 90.00
_symmetry_space_group_name_H-M 'I 41/a m d'
_symmetry_Int_Tables_number 141
loop_
_symmetry_equiv_pos_as_xyz
'x,y,z'
'-x,-y,-z'
'-y+1/4,x+3/4,z+1/4'
'y+1/4,-x+3/4,-z+1/4'
'-x+1/2,-y,z+1/2'
'x+1/2,y,-z+1/2'
'y+1/4,-x+1/4,z+3/4'
'-y+1/4,x+1/4,-z+3/4'
'x,-y,-z'
'-x,y,z'
'-y+1/4,-x+1/4,-z+3/4'
'y+1/4,x+1/4,z+3/4'
'-x+1/2,y,-z+1/2'
'x+1/2,-y,z+1/2'
'y+1/4,x+3/4,-z+1/4'
'-y+1/4,-x+3/4,z+1/4'
'x+1/2,y+1/2,z+1/2'
'-x+1/2,-y+1/2,-z+1/2'
'-y+3/4,x+1/4,z+3/4'
'y+3/4,-x+1/4,-z+3/4'
'-x,-y+1/2,z'
'x,y+1/2,-z'
'y+3/4,-x+3/4,z+1/4'
'-y+3/4,x+3/4,-z+1/4'
'x+1/2,-y+1/2,-z+1/2'
'-x+1/2,y+1/2,z+1/2'
'-y+3/4,-x+3/4,-z+1/4'
'y+3/4,x+3/4,z+1/4'
'-x,y+1/2,-z'
'x,-y+1/2,z'
'y+3/4,x+1/4,-z+3/4'
'-y+3/4,-x+1/4,z+3/4'
loop_
_atom_site_label
_atom_site_type_symbol
_atom_site_fract_x
_atom_site_fract_y
_atom_site_fract_z
Tb1 Tb 0.0000 0.2500 0.3750
Pu1 Pu 0.0000 0.2500 0.8750
Se1 Se 0.0000 0.2500 0.1253
```